This entry pairs a crystal structure of Tb3Dy3HoTe8 with its calculated powder diffractogram. Radiation: Cu Kα. Structure: a PBE-relaxed structure.
No peak broadening, texture or thermal motion is included.

Crystal structure
```
data_Tb3Dy3HoTe8
_chemical_formula_sum 'Tb9 Dy9 Ho3 Te24'
_cell_length_a 8.6881
_cell_length_b 8.6881
_cell_length_c 21.2852
_cell_angle_alpha 90.00
_cell_angle_beta 90.00
_cell_angle_gamma 120.00
_symmetry_space_group_name_H-M 'R -3 m'
_symmetry_Int_Tables_number 166
_symmetry_space_group_name_Hall '-R 3 2"'
loop_
_atom_site_label
_atom_site_type_symbol
_atom_site_fract_x
_atom_site_fract_y
_atom_site_fract_z
Tb1 Tb 0.0000 0.5000 0.0000
Dy1 Dy 0.0000 0.5000 0.5000
Ho1 Ho 0.0000 0.0000 0.5000
Te1 Te 0.0000 0.0000 0.2495
Te2 Te 0.0068 0.5034 0.7488
```

The 6 most intense peaks (2θ = 5–70°), sorted by position:
(hkl), 2theta, I_rel
0 0 3, 12.5, 4
0 2 4, 29.1, 100
2 2 0, 41.6, 76
0 0 12, 51.5, 27
0 4 8, 60.3, 13
2 2 12, 68.3, 34

---

This entry pairs a crystal structure of TbDyHoTh2 with its calculated powder diffractogram. Radiation: Cu Kα. Structure: a PBE-relaxed structure.
No peak broadening, texture or thermal motion is included.

Crystal structure
```
data_TbDyHoTh2
_chemical_formula_sum 'Tb4 Dy4 Ho4 Th8'
_cell_length_a 6.6454
_cell_length_b 15.5783
_cell_length_c 6.6487
_cell_angle_alpha 90.00
_cell_angle_beta 90.00
_cell_angle_gamma 90.00
_symmetry_space_group_name_H-M 'C m c m'
_symmetry_Int_Tables_number 63
_symmetry_space_group_name_Hall '-C 2c 2'
loop_
_atom_site_label
_atom_site_type_symbol
_atom_site_fract_x
_atom_site_fract_y
_atom_site_fract_z
Tb1 Tb 0.0000 0.2482 0.2500
Dy1 Dy 0.0000 0.1520 0.7500
Ho1 Ho 0.0000 0.3484 0.7500
Th1 Th 0.2498 0.0000 0.0000
```

The 6 most intense peaks (2θ = 5–70°), sorted by position:
(hkl), 2theta, I_rel
2 2 0, 29.2, 100
0 6 0, 34.5, 40
2 4 0, 35.5, 35
2 0 2, 38.3, 42
2 6 2, 52.5, 31
4 2 2, 63.7, 23

---

This entry pairs a crystal structure of Tb2Dy2HoTh with its calculated powder diffractogram. Radiation: Cu Kα. Structure: a PBE-relaxed structure.
No peak broadening, texture or thermal motion is included.

Crystal structure
```
data_Tb2Dy2HoTh
_chemical_formula_sum 'Tb4 Dy4 Ho2 Th2'
_cell_length_a 6.5926
_cell_length_b 6.6935
_cell_length_c 8.7818
_cell_angle_alpha 90.00
_cell_angle_beta 96.65
_cell_angle_gamma 90.00
_symmetry_space_group_name_H-M 'P 1 21/m 1'
_symmetry_Int_Tables_number 11
loop_
_symmetry_equiv_pos_as_xyz
'x,y,z'
'-x,-y,-z'
'-x,y+1/2,-z'
'x,-y+1/2,z'
loop_
_atom_site_label
_atom_site_type_symbol
_atom_site_fract_x
_atom_site_fract_y
_atom_site_fract_z
Tb1 Tb 0.1826 0.9996 0.1800
Dy1 Dy 0.2924 0.2500 0.8339
Dy2 Dy 0.4195 0.2500 0.4907
Ho1 Ho 0.3446 0.7500 0.8596
Th1 Th 0.0863 0.7500 0.5172
```

The 6 most intense peaks (2θ = 5–70°), sorted by position:
(hkl), 2theta, I_rel
2 0 1, 30.2, 63
0 0 3, 30.8, 100
1 2 -1, 31.2, 96
2 0 -2, 32.2, 91
2 1 1, 33.1, 39
1 2 2, 37.4, 51

---

This entry pairs a crystal structure of TbDy2Ho5Th with its calculated powder diffractogram. Radiation: Cu Kα. Structure: a PBE-relaxed structure.
No peak broadening, texture or thermal motion is included.

Crystal structure
```
data_TbDy2Ho5Th
_chemical_formula_sum 'Tb4 Dy8 Ho20 Th4'
_cell_length_a 5.6759
_cell_length_b 21.4241
_cell_length_c 9.6716
_cell_angle_alpha 90.00
_cell_angle_beta 90.00
_cell_angle_gamma 90.00
_symmetry_space_group_name_H-M 'C m c 21'
_symmetry_Int_Tables_number 36
loop_
_symmetry_equiv_pos_as_xyz
'x,y,z'
'-x,-y,z+1/2'
'-x,y,z'
'x,-y,z+1/2'
'x+1/2,y+1/2,z'
'-x+1/2,-y+1/2,z+1/2'
'-x+1/2,y+1/2,z'
'x+1/2,-y+1/2,z+1/2'
loop_
_atom_site_label
_atom_site_type_symbol
_atom_site_fract_x
_atom_site_fract_y
_atom_site_fract_z
Tb1 Tb 0.0000 0.1902 0.0000
Dy1 Dy 0.0000 0.1154 0.6882
Dy2 Dy 0.0000 0.1296 0.3063
Ho1 Ho 0.0000 0.0143 0.9994
Ho2 Ho 0.0000 0.2713 0.6930
Ho3 Ho 0.0000 0.3050 0.3010
Ho4 Ho 0.0000 0.3982 0.9762
Ho5 Ho 0.0000 0.4690 0.2759
Th1 Th 0.0000 0.4056 0.5950
```

The 6 most intense peaks (2θ = 5–70°), sorted by position:
(hkl), 2theta, I_rel
0 6 1, 26.6, 21
2 0 0, 31.5, 58
1 5 2, 32.1, 100
1 1 3, 32.2, 60
1 7 1, 34.6, 31
3 5 2, 56.5, 32

---

This entry pairs a crystal structure of Tb3Dy6Ho2Th with its calculated powder diffractogram. Radiation: Cu Kα. Structure: a PBE-relaxed structure.
No peak broadening, texture or thermal motion is included.

Crystal structure
```
data_Tb3Dy6Ho2Th
_chemical_formula_sum 'Tb6 Dy12 Ho4 Th2'
_cell_length_a 6.1487
_cell_length_b 10.6407
_cell_length_c 11.7670
_cell_angle_alpha 90.00
_cell_angle_beta 100.02
_cell_angle_gamma 90.00
_symmetry_space_group_name_H-M 'C 1 2/m 1'
_symmetry_Int_Tables_number 12
loop_
_symmetry_equiv_pos_as_xyz
'x,y,z'
'-x,-y,-z'
'-x,y,-z'
'x,-y,z'
'x+1/2,y+1/2,z'
'-x+1/2,-y+1/2,-z'
'-x+1/2,y+1/2,-z'
'x+1/2,-y+1/2,z'
loop_
_atom_site_label
_atom_site_type_symbol
_atom_site_fract_x
_atom_site_fract_y
_atom_site_fract_z
Tb1 Tb 0.0000 0.0000 0.0000
Tb2 Tb 0.0000 0.3328 0.0000
Dy1 Dy 0.2465 0.5000 0.2512
Dy2 Dy 0.2488 0.3349 0.7489
Ho1 Ho 0.0000 0.1667 0.5000
Th1 Th 0.0000 0.5000 0.5000
```

The 6 most intense peaks (2θ = 5–70°), sorted by position:
(hkl), 2theta, I_rel
1 3 1, 30.9, 100
2 0 2, 35.8, 51
1 3 5, 51.5, 36
4 0 0, 61.3, 36
0 6 4, 61.3, 7
2 6 2, 64.3, 12

---

This entry pairs a crystal structure of Tb5Dy2HoTh with its calculated powder diffractogram. Radiation: Cu Kα. Structure: a PBE-relaxed structure.
No peak broadening, texture or thermal motion is included.

Crystal structure
```
data_Tb5Dy2HoTh
_chemical_formula_sum 'Tb20 Dy8 Ho4 Th4'
_cell_length_a 5.7063
_cell_length_b 21.5463
_cell_length_c 9.6922
_cell_angle_alpha 90.00
_cell_angle_beta 90.00
_cell_angle_gamma 90.00
_symmetry_space_group_name_H-M 'C m c 21'
_symmetry_Int_Tables_number 36
loop_
_symmetry_equiv_pos_as_xyz
'x,y,z'
'-x,-y,z+1/2'
'-x,y,z'
'x,-y,z+1/2'
'x+1/2,y+1/2,z'
'-x+1/2,-y+1/2,z+1/2'
'-x+1/2,y+1/2,z'
'x+1/2,-y+1/2,z+1/2'
loop_
_atom_site_label
_atom_site_type_symbol
_atom_site_fract_x
_atom_site_fract_y
_atom_site_fract_z
Tb1 Tb 0.0000 0.0146 0.0000
Tb2 Tb 0.0000 0.2718 0.6938
Tb3 Tb 0.0000 0.3040 0.3003
Tb4 Tb 0.0000 0.3985 0.9744
Tb5 Tb 0.0000 0.4689 0.2735
Dy1 Dy 0.0000 0.1158 0.6872
Dy2 Dy 0.0000 0.1288 0.3053
Ho1 Ho 0.0000 0.1891 0.9999
Th1 Th 0.0000 0.4049 0.5936
```

The 6 most intense peaks (2θ = 5–70°), sorted by position:
(hkl), 2theta, I_rel
0 6 1, 26.5, 20
2 0 0, 31.4, 58
1 5 2, 31.9, 100
1 1 3, 32.1, 58
1 7 1, 34.4, 30
3 5 2, 56.2, 20

---

This entry pairs a crystal structure of Tb3Dy2Ho6Tl with its calculated powder diffractogram. Radiation: Cu Kα. Structure: a PBE-relaxed structure.
No peak broadening, texture or thermal motion is included.

Crystal structure
```
data_Tb3Dy2Ho6Tl
_chemical_formula_sum 'Tb6 Dy4 Ho12 Tl2'
_cell_length_a 6.0764
_cell_length_b 10.5337
_cell_length_c 11.6139
_cell_angle_alpha 90.00
_cell_angle_beta 100.14
_cell_angle_gamma 90.00
_symmetry_space_group_name_H-M 'C 1 2/m 1'
_symmetry_Int_Tables_number 12
loop_
_symmetry_equiv_pos_as_xyz
'x,y,z'
'-x,-y,-z'
'-x,y,-z'
'x,-y,z'
'x+1/2,y+1/2,z'
'-x+1/2,-y+1/2,-z'
'-x+1/2,y+1/2,-z'
'x+1/2,-y+1/2,z'
loop_
_atom_site_label
_atom_site_type_symbol
_atom_site_fract_x
_atom_site_fract_y
_atom_site_fract_z
Tb1 Tb 0.0000 0.0000 0.0000
Tb2 Tb 0.0000 0.3332 0.0000
Dy1 Dy 0.0000 0.1660 0.5000
Ho1 Ho 0.2461 0.3353 0.7470
Ho2 Ho 0.2478 0.5000 0.2514
Tl1 Tl 0.0000 0.5000 0.5000
```

The 6 most intense peaks (2θ = 5–70°), sorted by position:
(hkl), 2theta, I_rel
1 3 1, 31.2, 100
0 0 4, 31.3, 33
2 0 2, 36.2, 67
0 6 0, 52.1, 32
4 0 0, 62.0, 33
3 3 3, 62.1, 23

---

This entry pairs a crystal structure of TbDyHo2Tm2 with its calculated powder diffractogram. Radiation: Cu Kα. Structure: a PBE-relaxed structure.
No peak broadening, texture or thermal motion is included.

Crystal structure
```
data_TbDyHo2Tm2
_chemical_formula_sum 'Tb2 Dy2 Ho4 Tm4'
_cell_length_a 6.5181
_cell_length_b 17.4022
_cell_length_c 3.3487
_cell_angle_alpha 90.00
_cell_angle_beta 90.00
_cell_angle_gamma 90.00
_symmetry_space_group_name_H-M 'P n n m'
_symmetry_Int_Tables_number 58
loop_
_symmetry_equiv_pos_as_xyz
'x,y,z'
'-x,-y,-z'
'-x,-y,z'
'x,y,-z'
'x+1/2,-y+1/2,-z+1/2'
'-x+1/2,y+1/2,z+1/2'
'-x+1/2,y+1/2,-z+1/2'
'x+1/2,-y+1/2,z+1/2'
loop_
_atom_site_label
_atom_site_type_symbol
_atom_site_fract_x
_atom_site_fract_y
_atom_site_fract_z
Tb1 Tb 0.0000 0.0000 0.0000
Dy1 Dy 0.0000 0.5000 0.0000
Ho1 Ho 0.2303 0.3503 0.5000
Tm1 Tm 0.2324 0.1810 0.0000
```

The 6 most intense peaks (2θ = 5–70°), sorted by position:
(hkl), 2theta, I_rel
2 2 0, 29.3, 58
0 6 0, 30.8, 100
1 2 1, 31.8, 22
1 6 0, 33.8, 21
2 4 0, 34.4, 38
2 3 1, 41.7, 45

---

This entry pairs a crystal structure of Tb3Dy2HoTm6 with its calculated powder diffractogram. Radiation: Cu Kα. Structure: a PBE-relaxed structure.
No peak broadening, texture or thermal motion is included.

Crystal structure
```
data_Tb3Dy2HoTm6
_chemical_formula_sum 'Tb6 Dy4 Ho2 Tm12'
_cell_length_a 6.0872
_cell_length_b 10.5326
_cell_length_c 11.6106
_cell_angle_alpha 90.00
_cell_angle_beta 100.04
_cell_angle_gamma 90.00
_symmetry_space_group_name_H-M 'C 1 2/m 1'
_symmetry_Int_Tables_number 12
loop_
_symmetry_equiv_pos_as_xyz
'x,y,z'
'-x,-y,-z'
'-x,y,-z'
'x,-y,z'
'x+1/2,y+1/2,z'
'-x+1/2,-y+1/2,-z'
'-x+1/2,y+1/2,-z'
'x+1/2,-y+1/2,z'
loop_
_atom_site_label
_atom_site_type_symbol
_atom_site_fract_x
_atom_site_fract_y
_atom_site_fract_z
Tb1 Tb 0.0000 0.0000 0.0000
Tb2 Tb 0.0000 0.3334 0.0000
Dy1 Dy 0.0000 0.1667 0.5000
Ho1 Ho 0.0000 0.5000 0.5000
Tm1 Tm 0.2500 0.0000 0.7494
Tm2 Tm 0.2501 0.1667 0.2506
```

The 6 most intense peaks (2θ = 5–70°), sorted by position:
(hkl), 2theta, I_rel
1 3 1, 31.2, 100
0 0 4, 31.3, 33
2 0 2, 36.2, 67
0 6 0, 52.1, 24
1 3 5, 52.2, 24
4 0 0, 62.0, 33

---

This entry pairs a crystal structure of Tb5Dy2HoTm with its calculated powder diffractogram. Radiation: Cu Kα. Structure: a PBE-relaxed structure.
No peak broadening, texture or thermal motion is included.

Crystal structure
```
data_Tb5Dy2HoTm
_chemical_formula_sum 'Tb20 Dy8 Ho4 Tm4'
_cell_length_a 5.5589
_cell_length_b 19.8315
_cell_length_c 10.5287
_cell_angle_alpha 90.00
_cell_angle_beta 90.00
_cell_angle_gamma 90.00
_symmetry_space_group_name_H-M 'C m c 21'
_symmetry_Int_Tables_number 36
loop_
_symmetry_equiv_pos_as_xyz
'x,y,z'
'-x,-y,z+1/2'
'-x,y,z'
'x,-y,z+1/2'
'x+1/2,y+1/2,z'
'-x+1/2,-y+1/2,z+1/2'
'-x+1/2,y+1/2,z'
'x+1/2,-y+1/2,z+1/2'
loop_
_atom_site_label
_atom_site_type_symbol
_atom_site_fract_x
_atom_site_fract_y
_atom_site_fract_z
Tb1 Tb 0.0000 0.0176 0.0000
Tb2 Tb 0.0000 0.2809 0.2875
Tb3 Tb 0.0000 0.3000 0.6858
Tb4 Tb 0.0000 0.3880 0.0006
Tb5 Tb 0.0000 0.4805 0.7188
Dy1 Dy 0.0000 0.1105 0.7157
Dy2 Dy 0.0000 0.1138 0.2945
Ho1 Ho 0.0000 0.1995 0.9891
Tm1 Tm 0.0000 0.4113 0.4377
```

The 6 most intense peaks (2θ = 5–70°), sorted by position:
(hkl), 2theta, I_rel
0 6 1, 28.3, 16
1 1 3, 30.5, 34
2 0 0, 32.2, 38
1 5 2, 32.5, 100
0 0 4, 34.1, 13
3 5 2, 57.6, 20

---

This entry pairs a crystal structure of TbDyHo2Tm with its calculated powder diffractogram. Radiation: Cu Kα. Structure: a PBE-relaxed structure.
No peak broadening, texture or thermal motion is included.

Crystal structure
```
data_TbDyHo2Tm
_chemical_formula_sum 'Tb4 Dy4 Ho8 Tm4'
_cell_length_a 8.2874
_cell_length_b 11.3189
_cell_length_c 7.1529
_cell_angle_alpha 90.00
_cell_angle_beta 90.00
_cell_angle_gamma 90.00
_symmetry_space_group_name_H-M 'C m c m'
_symmetry_Int_Tables_number 63
_symmetry_space_group_name_Hall '-C 2c 2'
loop_
_atom_site_label
_atom_site_type_symbol
_atom_site_fract_x
_atom_site_fract_y
_atom_site_fract_z
Tb1 Tb 0.0000 0.2251 0.2500
Dy1 Dy 0.0000 0.2248 0.7500
Ho1 Ho 0.1914 0.0000 0.0000
Tm1 Tm 0.0000 0.4997 0.2500
```

The 6 most intense peaks (2θ = 5–70°), sorted by position:
(hkl), 2theta, I_rel
2 2 0, 26.7, 47
0 2 2, 29.5, 54
0 4 0, 31.6, 60
2 0 2, 33.1, 100
1 3 2, 36.3, 55
2 4 2, 46.4, 66

---

This entry pairs a crystal structure of Tb2Dy4Ho2Tm with its calculated powder diffractogram. Radiation: Cu Kα. Structure: a PBE-relaxed structure.
No peak broadening, texture or thermal motion is included.

Crystal structure
```
data_Tb2Dy4Ho2Tm
_chemical_formula_sum 'Tb4 Dy8 Ho4 Tm2'
_cell_length_a 18.4998
_cell_length_b 3.5620
_cell_length_c 9.4553
_cell_angle_alpha 90.00
_cell_angle_beta 115.75
_cell_angle_gamma 90.00
_symmetry_space_group_name_H-M 'C 1 2/m 1'
_symmetry_Int_Tables_number 12
loop_
_symmetry_equiv_pos_as_xyz
'x,y,z'
'-x,-y,-z'
'-x,y,-z'
'x,-y,z'
'x+1/2,y+1/2,z'
'-x+1/2,-y+1/2,-z'
'-x+1/2,y+1/2,-z'
'x+1/2,-y+1/2,z'
loop_
_atom_site_label
_atom_site_type_symbol
_atom_site_fract_x
_atom_site_fract_y
_atom_site_fract_z
Tb1 Tb 0.1481 0.0000 0.1664
Dy1 Dy 0.0185 0.5000 0.8323
Dy2 Dy 0.1850 0.0000 0.8328
Ho1 Ho 0.1663 0.5000 0.4999
Tm1 Tm 0.0000 0.0000 0.5000
```

The 6 most intense peaks (2θ = 5–70°), sorted by position:
(hkl), 2theta, I_rel
6 0 -1, 29.2, 37
0 0 3, 31.5, 49
6 0 0, 32.2, 100
3 1 1, 34.0, 86
0 2 0, 51.3, 38
9 1 1, 61.5, 44

---

- Number 6 is which compound?
  Tb5Dy2HoTh